LiSc2Pd4: simulated powder X-ray diffraction pattern (λ = 1.5418 Å (Cu Kα)), based on a crystal structure in Alexandria, relaxed with GGA-PBE.
Peak positions follow from Bragg's law for the DFT cell and can differ from measured ones.

Main lines, most intense first (10 to 90 degrees two-theta):
- 2θ = 37.39°, d = 2.405 Å, intensity 100
- 2θ = 43.13°, d = 2.098 Å, intensity 56
- 2θ = 40.75°, d = 2.214 Å, intensity 43
- 2θ = 27.50°, d = 3.243 Å, intensity 38
- 2θ = 18.63°, d = 4.763 Å, intensity 26
- 2θ = 34.16°, d = 2.625 Å, intensity 20
- 2θ = 38.56°, d = 2.335 Å, intensity 18
- 2θ = 38.66°, d = 2.329 Å, intensity 17
- 2θ = 32.65°, d = 2.743 Å, intensity 17
- 2θ = 41.65°, d = 2.168 Å, intensity 17

Cell and atoms:
Cell lengths 5.732, 7.041, 7.061 Å; angles 77.82, 67.27, 67.29 degrees
Atoms (fractional coordinates):
1 Li 0.000 0.000 0.000
2 Li 0.488 0.024 0.024
3 Sc 0.244 0.057 0.523
4 Sc 0.246 0.501 0.967
5 Sc 0.246 0.583 0.441
6 Sc 0.746 0.505 0.519
7 Pd 0.013 0.235 0.240
8 Pd 0.476 0.785 0.789
9 Pd 0.534 0.275 0.210
10 Pd 0.542 0.206 0.647
11 Pd 0.677 0.650 0.147
12 Pd 0.813 0.877 0.374
13 Pd 0.947 0.377 0.818
14 Pd 0.956 0.813 0.748